Diffraction record for Lu2PtPb. The powder XRD pattern is computed, not measured: it uses the GGA-PBE geometry in OQMD and CuKα.

Top 6 peaks for 15 to 90 degrees two-theta, sorted by position:
d = 4.139 Å, 2θ 21.5, rel. 1, (1 1 1)
d = 2.534 Å, 2θ 35.4, rel. 100, (2 2 0)
d = 1.792 Å, 2θ 51.0, rel. 18, (4 0 0)
d = 1.463 Å, 2θ 63.6, rel. 37, (4 2 2)
d = 1.267 Å, 2θ 74.9, rel. 12, (4 4 0)
d = 1.133 Å, 2θ 85.7, rel. 17, (6 2 0)

Structure:
```
Lu2PtPb
1.0
7.168 0.000 0.000
0.000 7.168 0.000
0.000 0.000 7.168
Lu Pt Pb
8 4 4
direct
0.000 0.000 0.000
0.000 0.500 0.500
0.250 0.250 0.250
0.250 0.750 0.750
0.500 0.000 0.500
0.500 0.500 0.000
0.750 0.250 0.750
0.750 0.750 0.250
0.250 0.250 0.750
0.250 0.750 0.250
0.750 0.250 0.250
0.750 0.750 0.750
0.000 0.000 0.500
0.000 0.500 0.000
0.500 0.000 0.000
0.500 0.500 0.500
```